Starting from DFT lattice parameters and positions (PBE+U), the X-ray powder pattern of MgV4Cu3O12 was computed for CuKα.
Lines closer than 0.1° are merged.

Structure:
```
MgV4Cu3O12
1.0
6.3395 0.0000 0.0000
-1.9675 6.1498 0.0000
-2.0284 -3.1039 5.4830
Mg V Cu O
1 4 3 12
Direct
0.0000 0.0000 0.0000
0.4588 0.8743 0.8523
0.4617 0.3721 0.3407
0.9656 0.3810 0.8486
0.9689 0.8809 0.3379
0.4674 0.3794 0.8461
0.8848 0.7273 0.6115
0.9720 0.3764 0.3458
0.1461 0.3668 0.1486
0.1596 0.7502 0.5374
0.2753 0.5613 0.8543
0.2848 0.1913 0.4524
0.3551 0.0612 0.0411
0.5976 0.7046 0.6723
0.6389 0.5583 0.2184
0.6619 0.1988 0.8344
0.7810 0.0079 0.1602
0.7898 0.3889 0.5405
0.9650 0.0581 0.6425
0.9874 0.7060 0.0653
```

Peak list (10 most intense, 10° ≤ 2θ ≤ 80°, most intense first)
33.51 deg, rel. 1000
16.54 deg, rel. 846
33.33 deg, rel. 641
34.74 deg, rel. 524
48.26 deg, rel. 413
34.28 deg, rel. 289
47.74 deg, rel. 281
28.21 deg, rel. 270
28.34 deg, rel. 255
16.95 deg, rel. 246

Starting from DFT lattice parameters and positions (PBE+U), the X-ray powder pattern of MgVCuO4 was computed for CuKα.
Lines closer than 0.1° are merged.

Structure:
```
MgVCuO4
1.0
2.8980 -4.3912 0.0000
2.8980 4.3912 0.0000
0.0000 0.0000 6.3399
Mg V Cu O
2 2 2 8
Direct
0.0000 0.0000 0.0000
0.0000 0.0000 0.5000
0.3566 0.6434 0.7500
0.6434 0.3566 0.2500
0.3335 0.6665 0.2500
0.6665 0.3335 0.7500
0.2234 0.2704 0.7500
0.2401 0.7599 0.5289
0.2401 0.7599 0.9711
0.2704 0.2234 0.2500
0.7296 0.7766 0.7500
0.7599 0.2401 0.0289
0.7599 0.2401 0.4711
0.7766 0.7296 0.2500
```

Peak list (10 most intense, 10° ≤ 2θ ≤ 80°, most intense first)
34.32 deg, rel. 1000
33.81 deg, rel. 990
30.85 deg, rel. 777
60.42 deg, rel. 451
44.96 deg, rel. 444
28.15 deg, rel. 434
18.34 deg, rel. 369
37.17 deg, rel. 330
69.34 deg, rel. 230
47.27 deg, rel. 225

Starting from DFT lattice parameters and positions (PBE+U), the X-ray powder pattern of MgV2CuO6 was computed for CuKα.
Lines closer than 0.1° are merged.

Structure:
```
MgV2CuO6
1.0
4.7947 -1.9659 0.0000
4.7947 1.9659 0.0000
-0.3221 0.0000 6.2895
Mg V Cu O
1 2 1 6
Direct
0.0000 0.0000 0.0000
0.0179 0.0179 0.5277
0.6819 0.6819 0.2584
0.6928 0.6928 0.7903
0.1429 0.1429 0.2790
0.1588 0.1588 0.7590
0.5597 0.5597 0.0132
0.5607 0.5607 0.4919
0.8650 0.8650 0.2538
0.8819 0.8819 0.7061
```

Peak list (10 most intense, 10° ≤ 2θ ≤ 80°, most intense first)
24.47 deg, rel. 1000
18.53 deg, rel. 919
34.93 deg, rel. 639
46.18 deg, rel. 464
33.28 deg, rel. 454
46.48 deg, rel. 310
36.25 deg, rel. 308
38.19 deg, rel. 308
59.18 deg, rel. 231
60.06 deg, rel. 221

Starting from DFT lattice parameters and positions (PBE+U), the X-ray powder pattern of Mg2CuWO6 was computed for CuKα.
Lines closer than 0.1° are merged.

Structure:
```
Mg2CuWO6
1.0
5.1258 0.0000 0.0000
2.5141 4.6134 0.0000
2.5111 1.5930 4.8806
Mg Cu W O
2 1 1 6
Direct
0.0000 0.0000 0.0000
0.4973 0.4874 0.5180
0.2540 0.2441 0.2793
0.7961 0.7966 0.6090
0.0683 0.7330 0.7781
0.1743 0.6176 0.3180
0.4243 0.0618 0.7715
0.6050 0.8791 0.3144
0.7315 0.4227 0.7834
0.8893 0.1878 0.3199
```

Peak list (10 most intense, 10° ≤ 2θ ≤ 80°, most intense first)
23.33 deg, rel. 1000
18.18 deg, rel. 709
31.34 deg, rel. 667
22.67 deg, rel. 524
47.72 deg, rel. 333
33.83 deg, rel. 325
34.16 deg, rel. 317
31.63 deg, rel. 316
35.01 deg, rel. 300
20.82 deg, rel. 295

Starting from DFT lattice parameters and positions (PBE+U), the X-ray powder pattern of MgCu3W4O12 was computed for CuKα.
Lines closer than 0.1° are merged.

Structure:
```
MgCu3W4O12
1.0
6.6554 0.0000 0.0000
-2.2059 6.2933 0.0000
-2.2291 -3.1066 5.4849
Mg Cu W O
1 3 4 12
Direct
0.0000 0.0000 0.0000
0.0000 0.5000 0.5000
0.5000 0.0000 0.5000
0.5000 0.5000 0.0000
0.0000 0.0000 0.5000
0.0000 0.5000 0.0000
0.5000 0.0000 0.0000
0.5000 0.5000 0.5000
0.1175 0.8140 0.2836
0.1726 0.2948 0.4709
0.1782 0.7017 0.8776
0.2945 0.4682 0.1619
0.2967 0.1085 0.8243
0.4705 0.1744 0.2932
0.5295 0.8256 0.7068
0.7033 0.8915 0.1757
0.7055 0.5318 0.8381
0.8218 0.2983 0.1224
0.8274 0.7052 0.5291
0.8825 0.1860 0.7164
```

Peak list (10 most intense, 10° ≤ 2θ ≤ 80°, most intense first)
32.88 deg, rel. 1000
32.68 deg, rel. 679
23.03 deg, rel. 544
32.97 deg, rel. 330
47.19 deg, rel. 320
58.84 deg, rel. 305
23.10 deg, rel. 272
58.40 deg, rel. 232
46.96 deg, rel. 160
58.70 deg, rel. 153

Starting from DFT lattice parameters and positions (PBE+U), the X-ray powder pattern of Mg2CuWO6 was computed for CuKα.
Lines closer than 0.1° are merged.

Structure:
```
Mg2CuWO6
1.0
5.0012 0.0000 0.0000
0.0000 5.1757 0.0000
-4.8516 0.0000 8.5276
Mg Cu W O
4 2 2 12
Direct
0.2056 0.0520 0.2322
0.2056 0.4480 0.7322
0.7944 0.5520 0.2678
0.7944 0.9480 0.7678
0.0000 0.0000 0.5000
0.0000 0.5000 0.0000
0.5000 0.0000 0.0000
0.5000 0.5000 0.5000
0.1387 0.2009 0.9477
0.1387 0.2991 0.4477
0.2008 0.7103 0.8911
0.2008 0.7897 0.3911
0.4615 0.1074 0.8028
0.4615 0.3926 0.3028
0.5385 0.6074 0.6972
0.5385 0.8926 0.1972
0.7992 0.2103 0.6089
0.7992 0.2897 0.1089
0.8613 0.7009 0.5523
0.8613 0.7991 0.0523
```

Peak list (10 most intense, 10° ≤ 2θ ≤ 80°, most intense first)
32.36 deg, rel. 1000
24.76 deg, rel. 985
20.81 deg, rel. 973
32.78 deg, rel. 796
20.07 deg, rel. 617
50.78 deg, rel. 331
40.77 deg, rel. 283
34.66 deg, rel. 277
35.92 deg, rel. 241
55.88 deg, rel. 222

Starting from DFT lattice parameters and positions (PBE+U), the X-ray powder pattern of YMgCuW2O8 was computed for CuKα.
Lines closer than 0.1° are merged.

Structure:
```
YMgCuW2O8
1.0
5.3675 0.0000 0.0000
-2.6459 5.5264 0.0000
-0.1805 -2.1036 5.8027
Y Mg Cu W O
1 1 1 2 8
Direct
0.0000 0.0000 0.0000
0.7039 0.3851 0.8527
0.4427 0.9212 0.4450
0.2370 0.4571 0.6408
0.7358 0.4670 0.3461
0.4467 0.2424 0.5281
0.4700 0.2065 0.0576
0.4842 0.6360 0.4324
0.5288 0.6735 0.8886
0.9329 0.6842 0.1861
0.9426 0.2532 0.3311
0.9719 0.2302 0.7934
0.9821 0.6391 0.6853
```

Peak list (10 most intense, 10° ≤ 2θ ≤ 80°, most intense first)
25.67 deg, rel. 1000
17.07 deg, rel. 983
26.28 deg, rel. 927
30.36 deg, rel. 703
33.40 deg, rel. 688
29.96 deg, rel. 678
15.27 deg, rel. 602
18.64 deg, rel. 597
36.57 deg, rel. 463
34.53 deg, rel. 415

Starting from DFT lattice parameters and positions (PBE+U), the X-ray powder pattern of YMgCuW2O8 was computed for CuKα.
Lines closer than 0.1° are merged.

Structure:
```
YMgCuW2O8
1.0
5.3271 0.0000 0.0000
-2.4445 5.4658 0.0000
-0.2736 -1.8205 6.0314
Y Mg Cu W O
1 1 1 2 8
Direct
0.0000 0.0000 0.0000
0.0000 0.9998 0.5001
0.4996 0.9995 0.4988
0.2806 0.5371 0.6676
0.7193 0.4625 0.3322
0.0152 0.7138 0.6545
0.0283 0.2529 0.7795
0.4536 0.2931 0.5471
0.4743 0.2333 0.0895
0.5257 0.7665 0.9101
0.5461 0.7064 0.4524
0.9718 0.7470 0.2204
0.9848 0.2860 0.3452
```

Peak list (10 most intense, 10° ≤ 2θ ≤ 80°, most intense first)
25.53 deg, rel. 1000
25.20 deg, rel. 933
33.69 deg, rel. 705
14.69 deg, rel. 611
18.97 deg, rel. 608
31.33 deg, rel. 355
16.94 deg, rel. 338
36.52 deg, rel. 334
29.95 deg, rel. 302
34.27 deg, rel. 288

Starting from DFT lattice parameters and positions (PBE+U), the X-ray powder pattern of YMgCuW2O8 was computed for CuKα.
Lines closer than 0.1° are merged.

Structure:
```
YMgCuW2O8
1.0
5.3801 0.0000 0.0000
-2.6521 5.3121 0.0000
-0.0188 -2.0779 5.7222
Y Mg Cu W O
1 1 1 2 8
Direct
0.0000 0.0000 0.0000
0.4567 0.9287 0.2916
0.6335 0.2590 0.8510
0.2313 0.4975 0.6634
0.7395 0.5234 0.3745
0.1752 0.6987 0.4638
0.2062 0.7407 0.9616
0.2503 0.2580 0.7969
0.3210 0.2672 0.3461
0.6547 0.7195 0.6853
0.7271 0.7637 0.2392
0.7412 0.2131 0.1267
0.7902 0.3011 0.5695
```

Peak list (10 most intense, 10° ≤ 2θ ≤ 80°, most intense first)
33.88 deg, rel. 1000
26.29 deg, rel. 801
17.76 deg, rel. 752
27.42 deg, rel. 697
30.81 deg, rel. 637
31.01 deg, rel. 623
33.31 deg, rel. 565
19.19 deg, rel. 499
39.34 deg, rel. 295
60.95 deg, rel. 253

Starting from DFT lattice parameters and positions (PBE+U), the X-ray powder pattern of MgZn2CuWO6 was computed for CuKα.
Lines closer than 0.1° are merged.

Structure:
```
MgZn2CuWO6
1.0
5.2832 0.0000 0.0000
-2.5495 4.6880 0.0000
-0.0272 -3.0083 5.1888
Mg Zn Cu W O
1 2 1 1 6
Direct
0.0000 0.0000 0.0000
0.3949 0.8014 0.1971
0.8180 0.6336 0.4549
0.2608 0.4713 0.6787
0.6375 0.2796 0.8948
0.0122 0.4346 0.1589
0.2537 0.0938 0.6841
0.4269 0.1601 0.1639
0.6373 0.8584 0.7138
0.7348 0.7472 0.1656
0.9011 0.5027 0.7170
```

Peak list (10 most intense, 10° ≤ 2θ ≤ 80°, most intense first)
34.98 deg, rel. 1000
19.89 deg, rel. 669
33.02 deg, rel. 587
33.61 deg, rel. 544
33.94 deg, rel. 491
34.22 deg, rel. 486
17.09 deg, rel. 403
20.25 deg, rel. 328
30.14 deg, rel. 311
61.43 deg, rel. 302